Structure and theoretical X-ray powder pattern of YUO5 (the PBE geometry in Alexandria; Cu Kα).
Kinematic intensities with the Lorentz-polarization factor, no thermal factor.

Peak list (10 most intense, 15 to 90 degrees two-theta, low angle first)
2θ/deg	Rel. int.
16.73	49
20.95	90
25.43	100
26.26	57
33.18	64
33.83	39
35.99	26
45.84	27
50.31	30
50.91	28

Structural model:
abc: 5.8030 5.8030 5.8030
angles: 138.74 108.43 86.11
Fractional positions:
Y: 0.0000 0.0000 0.0000
U: 0.5000 0.5000 0.0000
O: 0.0000 0.5000 0.5000
O: 0.2814 0.2814 0.0000
O: 0.3297 0.0000 0.3297
O: 0.6703 0.0000 0.6703
O: 0.7186 0.7186 0.0000